(1)
This entry pairs a crystal structure of Ca2Fe3O8 with its theoretical PXRD pattern. Radiation: Cu Kα X-rays. Structure: the GGA+U geometry in the Materials Project.

Atomic structure:
Unit cell a=6.125 b=6.830 c=9.142 alpha=86.24 beta=70.52 gamma=63.36
Sites, in units of the cell vectors:
Ca  0.000  0.000  0.000
Ca  0.160  0.396  0.284
Ca  0.502  0.500  0.500
Ca  0.662  0.897  0.784
Fe  0.069  0.948  0.391
Fe  0.078  0.199  0.642
Fe  0.094  0.448  0.892
Fe  0.568  0.448  0.893
Fe  0.577  0.698  0.142
Fe  0.594  0.949  0.392
O  0.247  0.140  0.792
O  0.268  0.902  0.541
O  0.325  0.638  0.292
O  0.331  0.347  0.014
O  0.340  0.255  0.491
O  0.357  0.548  0.771
O  0.369  0.993  0.244
O  0.414  0.758  0.991
O  0.746  0.642  0.291
O  0.765  0.403  0.040
O  0.823  0.140  0.791
O  0.837  0.847  0.512
O  0.839  0.755  0.993
O  0.853  0.050  0.270
O  0.874  0.495  0.743
O  0.914  0.258  0.491

Principal peaks in the range 5° ≤ 2θ ≤ 70°, in order of rising 2θ:
2θ/deg, I_rel
17.0, 100
27.3, 70
30.1, 58
36.0, 76
44.8, 67
54.5, 44

---

(2)
This entry pairs a crystal structure of Ca2Fe2O5 with its theoretical PXRD pattern. Radiation: Cu Kα X-rays. Structure: the GGA+U geometry in the Materials Project.

Atomic structure:
Unit cell a=8.424 b=8.424 c=8.424 alpha=55.91 beta=140.51 gamma=142.06
Sites, in units of the cell vectors:
Ca  0.029  0.107  0.136
Ca  0.029  0.393  0.422
Ca  0.971  0.607  0.578
Ca  0.971  0.893  0.864
Fe  0.471  0.790  0.181
Fe  0.489  0.489  0.000
Fe  0.489  0.989  0.500
Fe  0.610  0.290  0.819
O  0.015  0.646  0.869
O  0.388  0.102  0.567
O  0.388  0.321  0.785
O  0.493  0.224  0.238
O  0.493  0.755  0.769
O  0.535  0.602  0.215
O  0.535  0.821  0.433
O  0.777  0.146  0.131
O  0.985  0.255  0.762
O  0.985  0.724  0.231

Principal peaks in the range 5° ≤ 2θ ≤ 70°, in order of rising 2θ:
2θ/deg, I_rel
31.4, 34
32.7, 44
33.1, 100
46.0, 39
49.0, 18
58.6, 20

---

(3)
This entry pairs a crystal structure of CaFe2O4 with its theoretical PXRD pattern. Radiation: Cu Kα X-rays. Structure: the GGA+U geometry in the Materials Project.

Atomic structure:
Unit cell a=6.266 b=6.266 c=6.266 alpha=120.02 beta=120.00 gamma=89.99
Sites, in units of the cell vectors:
Ca  0.500  0.000  0.000
Ca  0.500  0.500  0.500
Fe  0.000  0.000  0.000
Fe  0.111  0.361  0.750
Fe  0.500  0.000  0.500
Fe  0.889  0.639  0.250
O  0.219  0.228  0.991
O  0.240  0.225  0.485
O  0.240  0.756  0.015
O  0.262  0.772  0.491
O  0.738  0.228  0.509
O  0.760  0.244  0.985
O  0.760  0.775  0.515
O  0.781  0.772  0.009

Principal peaks in the range 5° ≤ 2θ ≤ 70°, in order of rising 2θ:
2θ/deg, I_rel
28.5, 32
33.5, 100
40.7, 19
50.5, 12
53.8, 32
59.0, 46

---

(4)
This entry pairs a crystal structure of CaFe4O8 with its theoretical PXRD pattern. Radiation: Cu Kα X-rays. Structure: the GGA+U geometry in the Materials Project.

Atomic structure:
Unit cell a=6.484 b=6.484 c=6.484 alpha=53.27 beta=53.27 gamma=53.27
Sites, in units of the cell vectors:
Ca  0.000  0.000  0.000
Fe  0.000  0.000  0.500
Fe  0.000  0.500  0.000
Fe  0.500  0.000  0.000
Fe  0.500  0.500  0.500
O  0.223  0.729  0.729
O  0.227  0.227  0.227
O  0.271  0.271  0.777
O  0.271  0.777  0.271
O  0.729  0.223  0.729
O  0.729  0.729  0.223
O  0.773  0.773  0.773
O  0.777  0.271  0.271

Principal peaks in the range 5° ≤ 2θ ≤ 70°, in order of rising 2θ:
2θ/deg, I_rel
16.0, 100
36.1, 18
41.9, 56
53.0, 16
57.5, 14
64.1, 14

---

(5)
This entry pairs a crystal structure of Ca2Fe2O5 with its theoretical PXRD pattern. Radiation: Cu Kα X-rays. Structure: the GGA+U geometry in the Materials Project.

Atomic structure:
Unit cell a=5.462 b=10.490 c=3.936 alpha=90.00 beta=90.00 gamma=90.00
Sites, in units of the cell vectors:
Ca  0.222  0.115  0.000
Ca  0.278  0.615  0.000
Ca  0.722  0.385  0.000
Ca  0.778  0.885  0.000
Fe  0.238  0.364  0.500
Fe  0.262  0.864  0.500
Fe  0.738  0.136  0.500
Fe  0.762  0.636  0.500
O  0.000  0.000  0.500
O  0.106  0.701  0.500
O  0.204  0.393  0.000
O  0.296  0.893  0.000
O  0.394  0.201  0.500
O  0.500  0.500  0.500
O  0.606  0.799  0.500
O  0.704  0.107  0.000
O  0.796  0.607  0.000
O  0.894  0.299  0.500

Principal peaks in the range 5° ≤ 2θ ≤ 70°, in order of rising 2θ:
2θ/deg, I_rel
32.8, 100
34.2, 26
46.1, 21
48.1, 25
58.6, 16
60.4, 14

---

(6)
This entry pairs a crystal structure of Ca2Fe22O33 with its theoretical PXRD pattern. Radiation: Cu Kα X-rays. Structure: the GGA+U geometry in the Materials Project.

Atomic structure:
Unit cell a=21.280 b=21.280 c=21.280 alpha=16.22 beta=16.22 gamma=16.22
Sites, in units of the cell vectors:
Ca  0.049  0.049  0.049
Ca  0.951  0.951  0.951
Fe  0.000  0.000  0.500
Fe  0.000  0.500  0.000
Fe  0.000  0.665  0.335
Fe  0.091  0.594  0.576
Fe  0.117  0.117  0.117
Fe  0.206  0.206  0.206
Fe  0.296  0.296  0.296
Fe  0.335  0.000  0.665
Fe  0.380  0.380  0.380
Fe  0.406  0.909  0.424
Fe  0.424  0.406  0.909
Fe  0.470  0.470  0.470
Fe  0.500  0.000  0.000
Fe  0.530  0.530  0.530
Fe  0.576  0.091  0.594
Fe  0.594  0.576  0.091
Fe  0.620  0.620  0.620
Fe  0.665  0.335  0.000
Fe  0.704  0.704  0.704
Fe  0.794  0.794  0.794
Fe  0.883  0.883  0.883
Fe  0.909  0.424  0.406
O  0.000  0.000  0.000
O  0.044  0.645  0.407
O  0.071  0.073  0.537
O  0.073  0.537  0.071
O  0.129  0.654  0.655
O  0.147  0.147  0.147
O  0.240  0.267  0.701
O  0.264  0.264  0.264
O  0.267  0.701  0.240
O  0.299  0.733  0.760
O  0.330  0.330  0.330
O  0.345  0.346  0.871
O  0.346  0.871  0.345
O  0.355  0.956  0.593
O  0.407  0.044  0.645
O  0.439  0.439  0.439
O  0.463  0.927  0.929
O  0.537  0.071  0.073
O  0.561  0.561  0.561
O  0.593  0.355  0.956
O  0.645  0.407  0.044
O  0.654  0.655  0.129
O  0.655  0.129  0.654
O  0.670  0.670  0.670
O  0.701  0.240  0.267
O  0.733  0.760  0.299
O  0.736  0.736  0.736
O  0.760  0.299  0.733
O  0.853  0.853  0.853
O  0.871  0.345  0.346
O  0.927  0.929  0.463
O  0.929  0.463  0.927
O  0.956  0.593  0.355

Principal peaks in the range 5° ≤ 2θ ≤ 70°, in order of rising 2θ:
2θ/deg, I_rel
29.8, 34
34.4, 100
35.2, 27
42.5, 28
61.5, 28
61.8, 32

---

(7)
This entry pairs a crystal structure of CaFe4O8 with its theoretical PXRD pattern. Radiation: Cu Kα X-rays. Structure: the GGA+U geometry in the Materials Project.

Atomic structure:
Unit cell a=7.096 b=7.096 c=9.406 alpha=130.70 beta=130.70 gamma=25.19
Sites, in units of the cell vectors:
Ca  0.000  0.000  0.000
Fe  0.067  0.067  0.398
Fe  0.272  0.272  0.105
Fe  0.576  0.576  0.734
Fe  0.774  0.774  0.446
O  0.202  0.202  0.844
O  0.259  0.259  0.573
O  0.271  0.271  0.309
O  0.556  0.556  0.514
O  0.578  0.578  0.250
O  0.619  0.619  0.982
O  0.882  0.882  0.165
O  0.958  0.958  0.658

Principal peaks in the range 5° ≤ 2θ ≤ 70°, in order of rising 2θ:
2θ/deg, I_rel
17.2, 57
18.9, 77
29.7, 68
34.8, 77
35.2, 100
49.6, 65